(1)
# Li3U3AuSe8
Calculated powder XRD pattern, Cu Kα (λ = 1.5418 Å). Input: a PBE-relaxed structure.
Neutral-atom scattering factors, no anomalous dispersion.

```
data_Li3U3AuSe8
_cell_length_a 7.9454
_cell_length_b 7.9454
_cell_length_c 19.7593
_cell_angle_alpha 90.00
_cell_angle_beta 90.00
_cell_angle_gamma 120.00
_symmetry_space_group_name_H-M 'R -3 m'
_symmetry_Int_Tables_number 166
_symmetry_space_group_name_Hall '-R 3 2"'
loop_
_atom_site_label
_atom_site_fract_x
_atom_site_fract_y
_atom_site_fract_z
Li1 0.0000 0.5000 0.0000
U1 0.0000 0.5000 0.5000
Au1 0.0000 0.0000 0.5000
Se1 0.0000 0.0000 0.2544
Se2 0.0073 0.5037 0.7490
```

Principal peaks in the range 2θ from 5° to 70°, low angle first:
2theta  intensity
13.4  73
26.3  52
31.7  100
34.6  28
41.4  14
45.2  38
45.7  36
47.8  20
56.7  19
66.2  12



(2)
# Li3SiAu8
Calculated powder XRD pattern, Cu Kα (λ = 1.5418 Å). Input: a PBE-relaxed structure.
Neutral-atom scattering factors, no anomalous dispersion.

```
data_Li3SiAu8
_cell_length_a 5.660
_cell_length_b 7.026
_cell_length_c 7.035
_cell_angle_alpha 85.83
_cell_angle_beta 67.07
_cell_angle_gamma 66.27
_symmetry_space_group_name_H-M 'P 1'
_symmetry_Int_Tables_number 1
loop_
_symmetry_equiv_pos_as_xyz
'x,y,z'
loop_
_atom_site_label
_atom_site_fract_x
_atom_site_fract_y
_atom_site_fract_z
Li1 0.000 0.000 0.000
Li2 0.011 0.583 0.412
Li3 0.505 0.289 0.710
Si1 0.508 0.733 0.266
Au1 0.034 0.009 0.420
Au2 0.329 0.698 0.644
Au3 0.336 0.216 0.113
Au4 0.459 0.581 0.991
Au5 0.551 0.013 0.416
Au6 0.674 0.881 0.777
Au7 0.681 0.357 0.304
Au8 0.977 0.580 0.988
```

Principal peaks in the range 2θ from 5° to 70°, low angle first:
2theta  intensity
18.8  18
20.5  100
26.5  18
36.7  48
37.0  47
37.6  46
39.9  22
42.2  20
42.6  35
42.8  16